1.
This entry pairs a crystal structure of TbInIr with its theoretical powder diffractogram. Radiation: Cu Kα X-rays. Structure: a DFT-relaxed cell (PBE, the Materials Project).
Intensities are scaled so that the largest is 100.

Structure:
a = 7.528 Å, b = 7.528 Å, c = 3.990 Å
α = 90.00°, β = 90.00°, γ = 120.00°
Sites, in units of the cell vectors:
Tb 0.000 0.594 0.000
Tb 0.406 0.406 0.000
Tb 0.594 0.000 0.000
In 0.000 0.256 0.500
In 0.256 0.000 0.500
In 0.744 0.744 0.500
Ir 0.000 0.000 0.000
Ir 0.333 0.667 0.500
Ir 0.667 0.333 0.500

Most intense lines, 2θ = 10–80°, by intensity:
d 2.524, 2θ = 35.56°, I 100.0, (2 0 1); d 2.738, 2θ = 32.71°, I 81.2, (1 1 1); d 2.173, 2θ = 41.56°, I 47.1, (3 0 0); d 2.097, 2θ = 43.15°, I 38.9, (2 1 1); d 1.401, 2θ = 66.80°, I 33.6, (3 2 1); d 2.464, 2θ = 36.46°, I 33.2, (2 1 0); d 1.470, 2θ = 63.28°, I 27.3, (3 0 2); d 1.995, 2θ = 45.47°, I 27.1, (0 0 2); d 1.550, 2θ = 59.63°, I 15.6, (2 1 2); d 3.764, 2θ = 23.64°, I 14.6, (1 1 0)



2.
This entry pairs a crystal structure of U2InIr2 with its theoretical powder diffractogram. Radiation: Cu Kα X-rays. Structure: a DFT-relaxed cell (PBE, the Materials Project).
Intensities are scaled so that the largest is 100.

Structure:
a = 7.725 Å, b = 7.725 Å, c = 3.508 Å
α = 90.00°, β = 90.00°, γ = 90.00°
Sites, in units of the cell vectors:
U 0.166 0.334 0.000
U 0.334 0.834 0.000
U 0.666 0.166 0.000
U 0.834 0.666 0.000
In 0.000 0.000 0.500
In 0.500 0.500 0.500
Ir 0.136 0.636 0.500
Ir 0.364 0.136 0.500
Ir 0.636 0.864 0.500
Ir 0.864 0.364 0.500

Most intense lines, 2θ = 10–80°, by intensity:
d 2.462, 2θ = 36.50°, I 100.0, (2 1 1); d 2.443, 2θ = 36.79°, I 38.4, (3 1 0); d 1.328, 2θ = 70.99°, I 18.0, (5 2 1); d 1.425, 2θ = 65.51°, I 14.5, (3 1 2); d 1.653, 2θ = 55.61°, I 13.7, (4 1 1); d 2.597, 2θ = 34.54°, I 12.7, (2 0 1); d 5.462, 2θ = 16.23°, I 11.5, (1 1 0); d 1.754, 2θ = 52.14°, I 10.6, (0 0 2); d 1.821, 2θ = 50.10°, I 9.7, (3 3 0); d 1.931, 2θ = 47.05°, I 7.3, (4 0 0)



3.
This entry pairs a crystal structure of K3In with its theoretical powder diffractogram. Radiation: Cu Kα X-rays. Structure: a DFT-relaxed cell (PBE, the Materials Project).
Intensities are scaled so that the largest is 100.

Structure:
a = 9.226 Å, b = 9.226 Å, c = 9.226 Å
α = 90.00°, β = 90.00°, γ = 90.00°
Sites, in units of the cell vectors:
K 0.000 0.000 0.000
K 0.000 0.500 0.500
K 0.250 0.250 0.250
K 0.250 0.250 0.750
K 0.250 0.750 0.250
K 0.250 0.750 0.750
K 0.500 0.000 0.500
K 0.500 0.500 0.000
K 0.750 0.250 0.250
K 0.750 0.250 0.750
K 0.750 0.750 0.250
K 0.750 0.750 0.750
In 0.000 0.000 0.500
In 0.000 0.500 0.000
In 0.500 0.000 0.000
In 0.500 0.500 0.500

Most intense lines, 2θ = 10–80°, by intensity:
d 3.262, 2θ = 27.34°, I 100.0, (2 2 0); d 1.883, 2θ = 48.33°, I 37.8, (4 2 2); d 5.327, 2θ = 16.64°, I 20.3, (1 1 1); d 2.306, 2θ = 39.05°, I 18.3, (4 0 0); d 1.233, 2θ = 77.41°, I 17.0, (6 4 2); d 1.459, 2θ = 63.81°, I 15.4, (6 2 0); d 2.782, 2θ = 32.18°, I 12.9, (3 1 1); d 1.631, 2θ = 56.42°, I 11.5, (4 4 0); d 4.613, 2θ = 19.24°, I 11.0, (2 0 0); d 2.117, 2θ = 42.72°, I 6.1, (3 3 1)